# 1
This entry pairs a crystal structure of Cs2NaMnF6 with its simulated PXRD pattern. Radiation: CuKα. Structure: the PBE+U geometry in the Materials Project.
Intensities are scaled so that the largest is 100.

Peak list (6 most intense, 10° ≤ 2θ ≤ 80°, low angle first)
Position (°2θ)	Rel. int.
20.0	23
28.4	100
34.9	35
40.6	41
50.2	39
58.7	24

Crystal structure
Unit cell a=6.290 b=6.290 c=6.290 alpha=60.00 beta=60.00 gamma=60.00
Fractional positions:
Cs (0.250, 0.250, 0.250)
Cs (0.750, 0.750, 0.750)
Na (0.000, 0.000, 0.000)
Mn (0.500, 0.500, 0.500)
F (0.275, 0.275, 0.725)
F (0.275, 0.725, 0.275)
F (0.275, 0.725, 0.725)
F (0.725, 0.275, 0.275)
F (0.725, 0.275, 0.725)
F (0.725, 0.725, 0.275)

---

# 2
This entry pairs a crystal structure of Rb2CoO3 with its simulated PXRD pattern. Radiation: CuKα. Structure: the PBE+U geometry in the Materials Project.
Intensities are scaled so that the largest is 100.

Peak list (6 most intense, 10° ≤ 2θ ≤ 80°, low angle first)
Position (°2θ)	Rel. int.
28.5	34
29.3	78
33.0	100
33.2	34
37.6	21
44.2	34

Crystal structure
Unit cell a=6.376 b=6.376 c=5.402 alpha=90.00 beta=90.00 gamma=70.76
Fractional positions:
Rb (0.005, 0.316, 0.000)
Rb (0.316, 0.005, 0.500)
Rb (0.684, 0.995, 0.000)
Rb (0.995, 0.684, 0.500)
Co (0.427, 0.573, 0.013)
Co (0.573, 0.427, 0.513)
O (0.183, 0.817, 0.029)
O (0.376, 0.390, 0.759)
O (0.390, 0.376, 0.259)
O (0.610, 0.624, 0.759)
O (0.624, 0.610, 0.259)
O (0.817, 0.183, 0.529)

---

# 3
This entry pairs a crystal structure of MgFeH4S2NO8 with its simulated PXRD pattern. Radiation: CuKα. Structure: the PBE+U geometry in the Materials Project.
Intensities are scaled so that the largest is 100.

Peak list (6 most intense, 10° ≤ 2θ ≤ 80°, low angle first)
Position (°2θ)	Rel. int.
20.1	42
22.4	100
23.7	90
23.8	92
25.5	41
34.8	40

Crystal structure
Unit cell a=4.990 b=5.008 c=10.744 alpha=78.09 beta=88.11 gamma=62.38
Fractional positions:
Mg (0.000, 0.000, 0.000)
Fe (0.843, 0.237, 0.682)
H (0.355, 0.330, 0.349)
H (0.356, 0.983, 0.350)
H (0.441, 0.172, 0.218)
H (0.685, 0.007, 0.347)
S (0.162, 0.656, 0.542)
S (0.698, 0.717, 0.911)
N (0.458, 0.124, 0.316)
O (0.123, 0.372, 0.582)
O (0.203, 0.701, 0.402)
O (0.372, 0.804, 0.902)
O (0.429, 0.617, 0.616)
O (0.750, 0.976, 0.835)
O (0.817, 0.672, 0.042)
O (0.874, 0.429, 0.861)
O (0.886, 0.932, 0.566)

---

# 4
This entry pairs a crystal structure of NaSrEuWO6 with its simulated PXRD pattern. Radiation: CuKα. Structure: the PBE+U geometry in the Materials Project.
Intensities are scaled so that the largest is 100.

Peak list (6 most intense, 10° ≤ 2θ ≤ 80°, low angle first)
Position (°2θ)	Rel. int.
18.7	41
30.7	100
36.2	21
44.0	32
54.7	40
64.0	19

Crystal structure
Unit cell a=5.816 b=5.816 c=5.816 alpha=60.00 beta=60.00 gamma=60.00
Fractional positions:
Na (0.000, 0.000, 0.000)
Sr (0.750, 0.750, 0.750)
Eu (0.250, 0.250, 0.250)
W (0.500, 0.500, 0.500)
O (0.265, 0.265, 0.735)
O (0.265, 0.735, 0.265)
O (0.265, 0.735, 0.735)
O (0.735, 0.265, 0.265)
O (0.735, 0.265, 0.735)
O (0.735, 0.735, 0.265)

---

# 5
This entry pairs a crystal structure of Sr3La2Fe4CoO15 with its simulated PXRD pattern. Radiation: CuKα. Structure: the PBE+U geometry in the Materials Project.
Intensities are scaled so that the largest is 100.

Peak list (6 most intense, 10° ≤ 2θ ≤ 80°, low angle first)
Position (°2θ)	Rel. int.
32.4	100
32.5	97
40.0	23
46.5	70
57.8	44
67.8	20

Crystal structure
Unit cell a=5.527 b=5.527 c=11.675 alpha=103.76 beta=103.76 gamma=60.06
Fractional positions:
Sr (0.000, 0.000, 0.000)
Sr (0.199, 0.199, 0.597)
Sr (0.801, 0.801, 0.403)
La (0.404, 0.404, 0.210)
La (0.596, 0.596, 0.790)
Fe (0.101, 0.101, 0.302)
Fe (0.300, 0.300, 0.899)
Fe (0.700, 0.700, 0.101)
Fe (0.899, 0.899, 0.698)
Co (0.500, 0.500, 0.500)
O (0.000, 0.500, 0.000)
O (0.102, 0.102, 0.801)
O (0.102, 0.596, 0.801)
O (0.218, 0.691, 0.602)
O (0.309, 0.309, 0.399)
O (0.309, 0.782, 0.398)
O (0.404, 0.898, 0.199)
O (0.500, 0.000, 0.000)
O (0.500, 0.500, 0.000)
O (0.596, 0.102, 0.801)
O (0.691, 0.218, 0.602)
O (0.691, 0.691, 0.601)
O (0.782, 0.309, 0.398)
O (0.898, 0.404, 0.199)
O (0.898, 0.898, 0.199)

---

# 6
This entry pairs a crystal structure of Tm2WO6 with its simulated PXRD pattern. Radiation: CuKα. Structure: the PBE+U geometry in the Materials Project.
Intensities are scaled so that the largest is 100.

Peak list (6 most intense, 10° ≤ 2θ ≤ 80°, low angle first)
Position (°2θ)	Rel. int.
28.9	100
29.6	96
32.5	22
33.6	23
35.4	21
49.7	23

Crystal structure
Unit cell a=7.620 b=5.330 c=11.355 alpha=90.00 beta=104.78 gamma=90.00
Fractional positions:
Tm (0.000, 0.184, 0.250)
Tm (0.000, 0.816, 0.750)
Tm (0.297, 0.313, 0.921)
Tm (0.297, 0.687, 0.421)
Tm (0.500, 0.238, 0.250)
Tm (0.500, 0.762, 0.750)
Tm (0.703, 0.313, 0.579)
Tm (0.703, 0.687, 0.079)
W (0.221, 0.245, 0.613)
W (0.221, 0.755, 0.113)
W (0.779, 0.245, 0.887)
W (0.779, 0.755, 0.387)
O (0.013, 0.136, 0.887)
O (0.013, 0.864, 0.387)
O (0.133, 0.353, 0.450)
O (0.133, 0.647, 0.950)
O (0.210, 0.482, 0.230)
O (0.210, 0.518, 0.730)
O (0.288, 0.035, 0.774)
O (0.288, 0.965, 0.274)
O (0.351, 0.031, 0.069)
O (0.351, 0.969, 0.569)
O (0.440, 0.463, 0.604)
O (0.440, 0.537, 0.104)
O (0.560, 0.463, 0.896)
O (0.560, 0.537, 0.396)
O (0.649, 0.031, 0.431)
O (0.649, 0.969, 0.931)
O (0.712, 0.035, 0.726)
O (0.712, 0.965, 0.226)
O (0.790, 0.482, 0.270)
O (0.790, 0.518, 0.770)
O (0.867, 0.353, 0.050)
O (0.867, 0.647, 0.550)
O (0.987, 0.136, 0.613)
O (0.987, 0.864, 0.113)

---

# 7
This entry pairs a crystal structure of KEuW4O12 with its simulated PXRD pattern. Radiation: CuKα. Structure: the PBE+U geometry in the Materials Project.
Intensities are scaled so that the largest is 100.

Peak list (6 most intense, 10° ≤ 2θ ≤ 80°, low angle first)
Position (°2θ)	Rel. int.
22.4	31
22.7	59
32.1	100
32.3	51
57.1	21
57.5	21

Crystal structure
Unit cell a=7.866 b=5.575 c=5.575 alpha=89.29 beta=90.00 gamma=90.00
Fractional positions:
K (0.000, 0.000, 0.000)
Eu (0.500, 0.467, 0.467)
W (0.247, 0.482, 0.981)
W (0.247, 0.981, 0.482)
W (0.753, 0.482, 0.981)
W (0.753, 0.981, 0.482)
O (0.000, 0.517, 0.938)
O (0.000, 0.938, 0.517)
O (0.220, 0.274, 0.274)
O (0.257, 0.201, 0.763)
O (0.257, 0.763, 0.201)
O (0.288, 0.692, 0.692)
O (0.500, 0.024, 0.445)
O (0.500, 0.445, 0.024)
O (0.712, 0.692, 0.692)
O (0.743, 0.201, 0.763)
O (0.743, 0.763, 0.201)
O (0.780, 0.274, 0.274)

---

# 8
This entry pairs a crystal structure of Na2MnNiO4 with its simulated PXRD pattern. Radiation: CuKα. Structure: the PBE+U geometry in the Materials Project.
Intensities are scaled so that the largest is 100.

Peak list (6 most intense, 10° ≤ 2θ ≤ 80°, low angle first)
Position (°2θ)	Rel. int.
16.5	63
33.4	15
35.7	32
40.8	100
57.6	27
60.6	28

Crystal structure
Unit cell a=10.869 b=10.869 c=10.869 alpha=16.16 beta=16.16 gamma=16.16
Fractional positions:
Na (0.247, 0.247, 0.247)
Na (0.753, 0.753, 0.753)
Mn (0.000, 0.000, 0.000)
Ni (0.500, 0.500, 0.500)
O (0.134, 0.134, 0.134)
O (0.366, 0.366, 0.366)
O (0.634, 0.634, 0.634)
O (0.866, 0.866, 0.866)

---

# 9
This entry pairs a crystal structure of VO3 with its simulated PXRD pattern. Radiation: CuKα. Structure: the PBE+U geometry in the Materials Project.
Intensities are scaled so that the largest is 100.

Peak list (6 most intense, 10° ≤ 2θ ≤ 80°, low angle first)
Position (°2θ)	Rel. int.
17.1	36
21.4	100
25.5	43
26.6	66
28.7	29
29.0	32

Crystal structure
Unit cell a=6.156 b=6.156 c=12.478 alpha=93.56 beta=93.56 gamma=34.63
Fractional positions:
V (0.076, 0.076, 0.137)
V (0.216, 0.216, 0.861)
V (0.784, 0.784, 0.139)
V (0.924, 0.924, 0.863)
O (0.074, 0.074, 0.265)
O (0.074, 0.074, 0.913)
O (0.197, 0.197, 0.734)
O (0.246, 0.246, 0.104)
O (0.388, 0.388, 0.891)
O (0.448, 0.448, 0.504)
O (0.552, 0.552, 0.496)
O (0.612, 0.612, 0.109)
O (0.754, 0.754, 0.896)
O (0.803, 0.803, 0.266)
O (0.926, 0.926, 0.087)
O (0.926, 0.926, 0.735)